Entry 1:
This entry pairs a crystal structure of Na2SnPb5 with its computed powder diffraction line list. Radiation: Cu Ka. Structure: DFT lattice parameters and positions (PBE).

```
data_Na2SnPb5
_chemical_formula_sum 'Na2 Sn1 Pb5'
_symmetry_space_group_name_H-M 'P 1'
_symmetry_Int_Tables_number 1
_cell_length_a 6.838
_cell_length_b 6.869
_cell_length_c 6.887
_cell_angle_alpha 90.01
_cell_angle_beta 118.53
_cell_angle_gamma 118.91
loop_
_symmetry_equiv_pos_as_xyz
'x,y,z'
loop_
_atom_site_label
_atom_site_type_symbol
_atom_site_fract_x
_atom_site_fract_y
_atom_site_fract_z
_atom_site_occupancy
Na1 Na 0.000 0.000 0.000 1
Na2 Na 0.500 0.500 0.500 1
Sn1 Sn 0.000 0.500 0.501 1
Pb1 Pb 0.000 0.001 0.500 1
Pb2 Pb 0.000 0.500 0.001 1
Pb3 Pb 0.500 0.000 0.000 1
Pb4 Pb 0.500 0.500 0.001 1
Pb5 Pb 0.501 0.001 0.500 1
```

The 6 most intense peaks (10° ≤ 2θ ≤ 80°), sorted by position:
h k l  2theta  d_spacing  intensity
1 0 -1  15.85  5.592  280
0 0 2  30.99  2.885  543
0 2 0  31.19  2.868  534
2 0 -2  32.01  2.796  1000
2 0 0  35.80  2.508  373
0 2 -2  36.99  2.431  684

=====

Entry 2:
This entry pairs a crystal structure of Na2SnPb2 with its computed powder diffraction line list. Radiation: Cu Ka. Structure: DFT lattice parameters and positions (PBE).

```
data_Na2SnPb2
_chemical_formula_sum 'Na8 Sn4 Pb8'
_symmetry_space_group_name_H-M 'C 1 2/m 1'
_symmetry_Int_Tables_number 12
_cell_length_a 10.902
_cell_length_b 4.626
_cell_length_c 11.491
_cell_angle_alpha 90.00
_cell_angle_beta 90.58
_cell_angle_gamma 90.00
loop_
_symmetry_equiv_pos_as_xyz
'x,y,z'
'-x,-y,-z'
'-x,y,-z'
'x,-y,z'
'x+1/2,y+1/2,z'
'-x+1/2,-y+1/2,-z'
'-x+1/2,y+1/2,-z'
'x+1/2,-y+1/2,z'
loop_
_atom_site_label
_atom_site_type_symbol
_atom_site_fract_x
_atom_site_fract_y
_atom_site_fract_z
_atom_site_occupancy
Na1 Na 0.061 0.000 0.346 1
Na2 Na 0.151 0.000 0.051 1
Sn1 Sn 0.233 0.000 0.755 1
Pb1 Pb 0.051 0.500 0.845 1
Pb2 Pb 0.150 0.500 0.559 1
```

The 6 most intense peaks (10° ≤ 2θ ≤ 80°), sorted by position:
h k l  2theta  d_spacing  intensity
2 0 1  18.08  4.905  523
1 1 0  20.86  4.259  561
1 1 -3  31.35  2.853  1000
3 1 1  32.34  2.768  923
2 0 4  35.47  2.531  361
4 0 -2  36.34  2.472  326

=====

Entry 3:
This entry pairs a crystal structure of Na3Sn2Pb3 with its computed powder diffraction line list. Radiation: Cu Ka. Structure: DFT lattice parameters and positions (PBE).

```
data_Na3Sn2Pb3
_chemical_formula_sum 'Na12 Sn8 Pb12'
_symmetry_space_group_name_H-M 'C m c m'
_symmetry_Int_Tables_number 63
_symmetry_space_group_name_Hall '-C 2c 2'
_cell_length_a 4.854
_cell_length_b 11.783
_cell_length_c 17.562
_cell_angle_alpha 90.00
_cell_angle_beta 90.00
_cell_angle_gamma 90.00
loop_
_atom_site_label
_atom_site_type_symbol
_atom_site_fract_x
_atom_site_fract_y
_atom_site_fract_z
_atom_site_occupancy
Na1 Na 0.000 0.093 0.123 1
Na2 Na 0.000 0.362 0.250 1
Sn1 Sn 0.000 0.182 0.626 1
Pb1 Pb 0.000 0.360 0.019 1
Pb2 Pb 0.000 0.362 0.750 1
```

The 6 most intense peaks (10° ≤ 2θ ≤ 80°), sorted by position:
h k l  2theta  d_spacing  intensity
1 1 1  20.42  4.348  393
0 2 3  21.40  4.153  532
1 1 4  28.44  3.138  863
1 3 4  35.82  2.507  1000
2 0 0  37.04  2.427  345
1 1 7  41.22  2.190  301

=====

Entry 4:
This entry pairs a crystal structure of Na6Sn2Pb with its computed powder diffraction line list. Radiation: Cu Ka. Structure: DFT lattice parameters and positions (PBE).

```
data_Na6Sn2Pb
_chemical_formula_sum 'Na18 Sn6 Pb3'
_symmetry_space_group_name_H-M 'R -3 m'
_symmetry_Int_Tables_number 166
_symmetry_space_group_name_Hall '-R 3 2"'
_cell_length_a 9.2831
_cell_length_b 9.2831
_cell_length_c 9.8453
_cell_angle_alpha 90.00
_cell_angle_beta 90.00
_cell_angle_gamma 120.00
loop_
_atom_site_label
_atom_site_type_symbol
_atom_site_fract_x
_atom_site_fract_y
_atom_site_fract_z
_atom_site_occupancy
Na1 Na 0.0000 0.3329 0.0000 1
Sn1 Sn 0.0000 0.0000 0.1625 1
Pb1 Pb 0.0000 0.0000 0.5000 1
```

The 6 most intense peaks (10° ≤ 2θ ≤ 80°), sorted by position:
h k l  2theta  d_spacing  intensity
1 1 0  19.12  4.642  599
3 0 0  33.44  2.680  1000
2 2 0  38.80  2.321  105
2 2 3  48.01  1.895  222
3 3 0  59.77  1.547  368
3 0 6  66.86  1.399  137

=====

Entry 5:
This entry pairs a crystal structure of Na2Sn3Pb8 with its computed powder diffraction line list. Radiation: Cu Ka. Structure: DFT lattice parameters and positions (PBE).

```
data_Na2Sn3Pb8
_chemical_formula_sum 'Na4 Sn6 Pb16'
_symmetry_space_group_name_H-M 'C 1 2/m 1'
_symmetry_Int_Tables_number 12
_cell_length_a 12.416
_cell_length_b 8.914
_cell_length_c 7.583
_cell_angle_alpha 90.00
_cell_angle_beta 99.38
_cell_angle_gamma 90.00
loop_
_symmetry_equiv_pos_as_xyz
'x,y,z'
'-x,-y,-z'
'-x,y,-z'
'x,-y,z'
'x+1/2,y+1/2,z'
'-x+1/2,-y+1/2,-z'
'-x+1/2,y+1/2,-z'
'x+1/2,-y+1/2,z'
loop_
_atom_site_label
_atom_site_type_symbol
_atom_site_fract_x
_atom_site_fract_y
_atom_site_fract_z
_atom_site_occupancy
Na1 Na 0.191 0.000 0.267 1
Sn1 Sn 0.000 0.000 0.500 1
Sn2 Sn 0.000 0.198 0.000 1
Pb1 Pb 0.081 0.500 0.843 1
Pb2 Pb 0.116 0.315 0.414 1
Pb3 Pb 0.182 0.000 0.828 1
```

The 6 most intense peaks (10° ≤ 2θ ≤ 80°), sorted by position:
h k l  2theta  d_spacing  intensity
2 2 -1  26.40  3.376  970
2 0 2  29.95  2.984  1000
3 1 -2  31.33  2.855  876
1 3 1  33.70  2.660  529
4 2 -1  36.00  2.495  430
5 1 0  38.09  2.362  568

=====

Entry 6:
This entry pairs a crystal structure of NaSn4Pb5 with its computed powder diffraction line list. Radiation: Cu Ka. Structure: DFT lattice parameters and positions (PBE).

```
data_NaSn4Pb5
_chemical_formula_sum 'Na1 Sn4 Pb5'
_symmetry_space_group_name_H-M 'P 4/m m m'
_symmetry_Int_Tables_number 123
_symmetry_space_group_name_Hall '-P 4 2'
_cell_length_a 4.154
_cell_length_b 4.154
_cell_length_c 17.255
_cell_angle_alpha 90.00
_cell_angle_beta 90.00
_cell_angle_gamma 90.00
loop_
_atom_site_label
_atom_site_type_symbol
_atom_site_fract_x
_atom_site_fract_y
_atom_site_fract_z
_atom_site_occupancy
Na1 Na 0.000 0.000 0.000 1
Sn1 Sn 0.000 0.000 0.200 1
Sn2 Sn 0.000 0.000 0.400 1
Pb1 Pb 0.500 0.500 0.104 1
Pb2 Pb 0.500 0.500 0.300 1
Pb3 Pb 0.500 0.500 0.500 1
```

The 6 most intense peaks (10° ≤ 2θ ≤ 80°), sorted by position:
h k l  2theta  d_spacing  intensity
1 0 0  21.39  4.154  168
1 1 0  30.44  2.937  656
1 0 5  33.77  2.654  1000
2 0 0  43.58  2.077  252
2 1 5  56.24  1.636  480
1 1 10  62.42  1.488  174

=====

Entry 7:
This entry pairs a crystal structure of Na3Sn4Pb8 with its computed powder diffraction line list. Radiation: Cu Ka. Structure: DFT lattice parameters and positions (PBE).

```
data_Na3Sn4Pb8
_chemical_formula_sum 'Na6 Sn8 Pb16'
_symmetry_space_group_name_H-M 'C 1 2/m 1'
_symmetry_Int_Tables_number 12
_cell_length_a 13.574
_cell_length_b 11.956
_cell_length_c 6.488
_cell_angle_alpha 90.00
_cell_angle_beta 118.37
_cell_angle_gamma 90.00
loop_
_symmetry_equiv_pos_as_xyz
'x,y,z'
'-x,-y,-z'
'-x,y,-z'
'x,-y,z'
'x+1/2,y+1/2,z'
'-x+1/2,-y+1/2,-z'
'-x+1/2,y+1/2,-z'
'x+1/2,-y+1/2,z'
loop_
_atom_site_label
_atom_site_type_symbol
_atom_site_fract_x
_atom_site_fract_y
_atom_site_fract_z
_atom_site_occupancy
Na1 Na 0.000 0.000 0.000 1
Na2 Na 0.250 0.250 0.000 1
Sn1 Sn 0.000 0.500 0.000 1
Sn2 Sn 0.000 0.500 0.500 1
Sn3 Sn 0.250 0.250 0.500 1
Pb1 Pb 0.000 0.204 0.500 1
Pb2 Pb 0.000 0.256 0.000 1
Pb3 Pb 0.207 0.000 0.710 1
Pb4 Pb 0.245 0.500 0.732 1
```

The 6 most intense peaks (10° ≤ 2θ ≤ 80°), sorted by position:
h k l  2theta  d_spacing  intensity
2 2 0  21.03  4.225  539
2 0 -2  27.49  3.244  412
4 0 0  29.91  2.987  1000
0 2 2  34.87  2.573  817
2 0 2  41.04  2.199  317
4 4 0  42.81  2.112  299

=====

Entry 8:
This entry pairs a crystal structure of NaSnPb4 with its computed powder diffraction line list. Radiation: Cu Ka. Structure: DFT lattice parameters and positions (PBE).

```
data_NaSnPb4
_chemical_formula_sum 'Na2 Sn2 Pb8'
_symmetry_space_group_name_H-M 'P -1'
_symmetry_Int_Tables_number 2
_cell_length_a 6.167
_cell_length_b 6.169
_cell_length_c 10.763
_cell_angle_alpha 100.78
_cell_angle_beta 100.58
_cell_angle_gamma 110.17
loop_
_symmetry_equiv_pos_as_xyz
'x,y,z'
'-x,-y,-z'
loop_
_atom_site_label
_atom_site_type_symbol
_atom_site_fract_x
_atom_site_fract_y
_atom_site_fract_z
_atom_site_occupancy
Na1 Na 0.250 0.250 0.000 1
Sn1 Sn 0.000 0.500 0.500 1
Sn2 Sn 0.500 0.000 0.500 1
Pb1 Pb 0.082 0.083 0.665 1
Pb2 Pb 0.162 0.664 0.828 1
Pb3 Pb 0.338 0.836 0.172 1
Pb4 Pb 0.418 0.417 0.335 1
```

The 6 most intense peaks (10° ≤ 2θ ≤ 80°), sorted by position:
h k l  2theta  d_spacing  intensity
2 0 -1  30.89  2.895  1000
1 -1 3  31.75  2.818  925
2 -2 0  35.50  2.529  348
1 1 2  36.65  2.452  326
1 1 -4  36.81  2.441  314
-1 3 2  51.94  1.760  251

=====

Entry 9:
This entry pairs a crystal structure of Na2Sn3Pb with its computed powder diffraction line list. Radiation: Cu Ka. Structure: DFT lattice parameters and positions (PBE).

```
data_Na2Sn3Pb
_chemical_formula_sum 'Na16 Sn24 Pb8'
_symmetry_space_group_name_H-M 'F m m m'
_symmetry_Int_Tables_number 69
_symmetry_space_group_name_Hall '-F 2 2'
_cell_length_a 6.567
_cell_length_b 10.939
_cell_length_c 18.619
_cell_angle_alpha 90.00
_cell_angle_beta 90.00
_cell_angle_gamma 90.00
loop_
_atom_site_label
_atom_site_type_symbol
_atom_site_fract_x
_atom_site_fract_y
_atom_site_fract_z
_atom_site_occupancy
Na1 Na 0.249 0.000 0.000 1
Na2 Na 0.250 0.250 0.250 1
Sn1 Sn 0.000 0.000 0.338 1
Sn2 Sn 0.000 0.246 0.417 1
Pb1 Pb 0.000 0.000 0.166 1
```

The 6 most intense peaks (10° ≤ 2θ ≤ 80°), sorted by position:
h k l  2theta  d_spacing  intensity
0 2 2  18.82  4.716  350
2 0 0  27.16  3.284  376
0 4 0  32.75  2.735  331
0 2 6  33.21  2.697  1000
2 2 6  43.40  2.085  439
4 2 6  66.68  1.403  239

=====

Entry 10:
This entry pairs a crystal structure of Na12SrPb4 with its computed powder diffraction line list. Radiation: Cu Ka. Structure: DFT lattice parameters and positions (PBE).

```
data_Na12SrPb4
_chemical_formula_sum 'Na24 Sr2 Pb8'
_symmetry_space_group_name_H-M 'I m -3'
_symmetry_Int_Tables_number 204
_symmetry_space_group_name_Hall '-I 2 2 3'
_cell_length_a 11.133
_cell_length_b 11.133
_cell_length_c 11.133
_cell_angle_alpha 90.00
_cell_angle_beta 90.00
_cell_angle_gamma 90.00
loop_
_atom_site_label
_atom_site_type_symbol
_atom_site_fract_x
_atom_site_fract_y
_atom_site_fract_z
_atom_site_occupancy
Na1 Na 0.000 0.174 0.334 1
Sr1 Sr 0.000 0.000 0.000 1
Pb1 Pb 0.250 0.250 0.250 1
```

The 6 most intense peaks (10° ≤ 2θ ≤ 80°), sorted by position:
h k l  2theta  d_spacing  intensity
2 0 0  15.92  5.567  867
2 2 0  22.59  3.936  1000
4 2 0  36.08  2.489  584
4 2 2  39.66  2.273  673
6 2 0  51.95  1.760  264
6 2 4  62.42  1.488  270

=====

Entry 11:
This entry pairs a crystal structure of Na2Sr2Pb3 with its computed powder diffraction line list. Radiation: Cu Ka. Structure: DFT lattice parameters and positions (PBE).

```
data_Na2Sr2Pb3
_chemical_formula_sum 'Na4 Sr4 Pb6'
_symmetry_space_group_name_H-M 'C m m m'
_symmetry_Int_Tables_number 65
_symmetry_space_group_name_Hall '-C 2 2'
_cell_length_a 5.058
_cell_length_b 24.279
_cell_length_c 3.631
_cell_angle_alpha 90.00
_cell_angle_beta 90.00
_cell_angle_gamma 90.00
loop_
_atom_site_label
_atom_site_type_symbol
_atom_site_fract_x
_atom_site_fract_y
_atom_site_fract_z
_atom_site_occupancy
Na1 Na 0.000 0.215 0.000 1
Sr1 Sr 0.000 0.075 0.000 1
Pb1 Pb 0.000 0.349 0.500 1
Pb2 Pb 0.000 0.500 0.500 1
```

The 6 most intense peaks (10° ≤ 2θ ≤ 80°), sorted by position:
h k l  2theta  d_spacing  intensity
1 1 0  17.91  4.952  344
1 1 1  30.53  2.928  1000
1 7 0  31.27  2.860  825
0 6 1  33.15  2.703  578
2 6 1  49.35  1.847  383
1 13 1  58.48  1.578  350

=====

Entry 12:
This entry pairs a crystal structure of Na5SrPb6 with its computed powder diffraction line list. Radiation: Cu Ka. Structure: DFT lattice parameters and positions (PBE).

```
data_Na5SrPb6
_chemical_formula_sum 'Na10 Sr2 Pb12'
_symmetry_space_group_name_H-M 'C m m m'
_symmetry_Int_Tables_number 65
_symmetry_space_group_name_Hall '-C 2 2'
_cell_length_a 4.954
_cell_length_b 14.411
_cell_length_c 9.960
_cell_angle_alpha 90.00
_cell_angle_beta 90.00
_cell_angle_gamma 90.00
loop_
_atom_site_label
_atom_site_type_symbol
_atom_site_fract_x
_atom_site_fract_y
_atom_site_fract_z
_atom_site_occupancy
Na1 Na 0.000 0.000 0.000 1
Na2 Na 0.000 0.323 0.500 1
Na3 Na 0.000 0.334 0.000 1
Sr1 Sr 0.000 0.000 0.500 1
Pb1 Pb 0.000 0.169 0.243 1
Pb2 Pb 0.000 0.500 0.248 1
```

The 6 most intense peaks (10° ≤ 2θ ≤ 80°), sorted by position:
h k l  2theta  d_spacing  intensity
0 0 2  17.81  4.980  479
1 3 0  25.83  3.449  409
1 3 2  31.56  2.835  1000
0 0 4  36.07  2.490  176
2 0 0  36.27  2.477  175
1 3 4  44.90  2.019  192

=====

Entry 13:
This entry pairs a crystal structure of Na4Sr3Pb4 with its computed powder diffraction line list. Radiation: Cu Ka. Structure: DFT lattice parameters and positions (PBE).

```
data_Na4Sr3Pb4
_chemical_formula_sum 'Na8 Sr6 Pb8'
_symmetry_space_group_name_H-M 'I m m m'
_symmetry_Int_Tables_number 71
_symmetry_space_group_name_Hall '-I 2 2'
_cell_length_a 3.942
_cell_length_b 5.386
_cell_length_c 34.813
_cell_angle_alpha 90.00
_cell_angle_beta 90.00
_cell_angle_gamma 90.00
loop_
_atom_site_label
_atom_site_type_symbol
_atom_site_fract_x
_atom_site_fract_y
_atom_site_fract_z
_atom_site_occupancy
Na1 Na 0.000 0.000 0.093 1
Na2 Na 0.000 0.500 0.242 1
Sr1 Sr 0.000 0.000 0.353 1
Sr2 Sr 0.000 0.500 0.500 1
Pb1 Pb 0.000 0.000 0.182 1
Pb2 Pb 0.000 0.500 0.046 1
```

The 6 most intense peaks (10° ≤ 2θ ≤ 80°), sorted by position:
h k l  2theta  d_spacing  intensity
0 1 3  18.16  4.885  504
1 1 2  28.52  3.129  1000
1 1 4  29.90  2.988  584
0 1 11  32.82  2.729  939
0 2 0  33.27  2.693  512
1 0 13  40.71  2.217  417